1.
Diffraction record for Li4Mn3CuNi2P6O24. The X-ray powder pattern is simulated, not measured: it uses a crystal structure in the Materials Project, relaxed with PBE+U and Cu Kα (weighted mean of Kα1 and Kα2).

Peak list (10 most intense, 2θ = 10–90°, sorted by position)
d/Å  2theta  I (rel.)
4.509  19.69  53.3
4.436  20.02  100.0
3.793  23.45  35.6
3.684  24.16  58.4
3.655  24.35  36.7
2.725  32.86  30.2
2.678  33.47  29.6
2.641  33.94  47.2
2.589  34.65  75.1
2.547  35.23  33.4

Crystal structure
a b c (Å): 8.365 8.365 8.587
angles (deg): 63.10 64.30 64.09
Element x y z (fractional)
Li: 0.000 0.000 0.000
Li: 0.092 0.917 0.508
Li: 0.201 0.431 0.372
Li: 0.589 0.619 0.800
Mn: 0.003 0.421 0.797
Mn: 0.492 0.917 0.288
Mn: 0.704 0.125 0.500
Cu: 0.199 0.615 0.982
Ni: 0.355 0.770 0.135
Ni: 0.845 0.272 0.648
P: 0.098 0.214 0.201
P: 0.289 0.016 0.691
P: 0.419 0.518 0.579
P: 0.598 0.315 0.099
P: 0.787 0.827 0.898
P: 0.898 0.730 0.397
O: 0.034 0.236 0.050
O: 0.092 0.715 0.249
O: 0.094 0.170 0.721
O: 0.162 0.377 0.166
O: 0.249 0.012 0.226
O: 0.257 0.459 0.608
O: 0.284 0.858 0.886
O: 0.300 0.953 0.544
O: 0.401 0.578 0.731
O: 0.426 0.681 0.388
O: 0.443 0.513 0.083
O: 0.454 0.081 0.638
O: 0.518 0.160 0.142
O: 0.593 0.848 0.040
O: 0.610 0.357 0.561
O: 0.675 0.273 0.249
O: 0.736 0.788 0.326
O: 0.741 0.334 0.903
O: 0.792 0.018 0.734
O: 0.820 0.672 0.831
O: 0.872 0.880 0.472
O: 0.910 0.530 0.544
O: 0.946 0.794 0.967
O: 0.956 0.193 0.397

2.
Diffraction record for Li2MnCuO4. The X-ray powder pattern is simulated, not measured: it uses a crystal structure in the Materials Project, relaxed with PBE+U and Cu Kα (weighted mean of Kα1 and Kα2).

Peak list (10 most intense, 2θ = 10–90°, sorted by position)
d/Å  2theta  I (rel.)
3.722  23.91  100.0
3.703  24.03  97.9
2.398  37.51  40.6
2.307  39.04  32.0
2.081  43.48  96.2
2.067  43.80  48.7
1.807  50.51  23.7
1.472  63.18  25.8
1.467  63.43  52.6
1.199  80.04  23.4

Crystal structure
a b c (Å): 5.093 5.093 8.320
angles (deg): 114.09 114.09 47.89
Element x y z (fractional)
Li: 0.000 0.000 0.000
Li: 0.001 0.001 0.496
Li: 0.249 0.249 0.372
Li: 0.249 0.249 0.873
Mn: 0.498 0.498 0.747
Mn: 0.501 0.501 0.248
Cu: 0.749 0.749 0.621
Cu: 0.750 0.750 0.124
O: 0.267 0.267 0.631
O: 0.269 0.269 0.133
O: 0.516 0.516 0.021
O: 0.517 0.517 0.492
O: 0.728 0.728 0.863
O: 0.734 0.734 0.364
O: 0.984 0.984 0.740
O: 0.985 0.985 0.240

3.
Diffraction record for Li3MnCu2O6. The X-ray powder pattern is simulated, not measured: it uses a crystal structure in the Materials Project, relaxed with PBE+U and Cu Kα (weighted mean of Kα1 and Kα2).

Peak list (10 most intense, 2θ = 10–90°, sorted by position)
d/Å  2theta  I (rel.)
4.804  18.47  100.0
2.563  35.02  18.3
2.478  36.25  27.8
2.387  37.68  11.1
2.128  42.49  27.2
2.055  44.08  49.3
1.907  47.68  16.3
1.586  58.17  9.6
1.483  62.65  14.0
1.473  63.11  14.0

Crystal structure
a b c (Å): 6.693 6.693 5.857
angles (deg): 102.11 102.11 24.88
Element x y z (fractional)
Li: 0.000 0.000 0.000
Li: 0.330 0.330 0.667
Li: 0.670 0.670 0.333
Mn: 0.000 0.000 0.500
Cu: 0.329 0.329 0.158
Cu: 0.671 0.671 0.842
O: 0.154 0.154 0.592
O: 0.165 0.165 0.072
O: 0.493 0.493 0.718
O: 0.507 0.507 0.282
O: 0.835 0.835 0.928
O: 0.846 0.846 0.408

4.
Diffraction record for Li4Mn2Cu3O10. The X-ray powder pattern is simulated, not measured: it uses a crystal structure in the Materials Project, relaxed with PBE+U and Cu Kα (weighted mean of Kα1 and Kα2).

Peak list (10 most intense, 2θ = 10–90°, sorted by position)
d/Å  2theta  I (rel.)
7.004  12.64  100.0
4.832  18.36  77.1
4.626  19.18  34.4
4.140  21.46  30.3
3.328  26.79  24.2
2.556  35.11  21.8
2.433  36.94  25.4
2.278  39.56  72.6
2.035  44.52  54.7
1.978  45.89  53.0

Crystal structure
a b c (Å): 5.043 5.387 7.603
angles (deg): 104.48 102.76 105.40
Element x y z (fractional)
Li: 0.104 0.207 0.224
Li: 0.277 0.600 0.603
Li: 0.723 0.400 0.397
Li: 0.896 0.793 0.776
Mn: 0.404 0.824 0.309
Mn: 0.596 0.176 0.691
Cu: 0.194 0.383 0.896
Cu: 0.500 0.000 0.000
Cu: 0.806 0.617 0.104
O: 0.053 0.594 0.322
O: 0.159 0.837 0.076
O: 0.285 0.979 0.764
O: 0.384 0.169 0.452
O: 0.446 0.474 0.159
O: 0.554 0.526 0.841
O: 0.616 0.831 0.548
O: 0.715 0.021 0.236
O: 0.841 0.163 0.924
O: 0.947 0.406 0.678